# 1
# CsInCuF6
Computed X-ray powder pattern, a wavelength of 1.5418 Å. Input: a GGA-PBE-relaxed structure.
Neutral-atom scattering factors, no anomalous dispersion.

Principal peaks in the range 5° ≤ 2θ ≤ 70°, most intense first:
Position (°2θ)	intensity
26.83	100
47.13	40
27.72	36
28.99	26
27.14	25
23.06	25

Structure:
Cell lengths 7.441, 7.895, 10.986 Å; angles 90.00, 90.00, 90.00 degrees
Space group Imma (No. 74)
Inequivalent atoms, fractional coordinates:
Cs: 0.000 0.250 0.110 [4 per cell]
In: 0.000 0.000 0.500 [4 per cell]
Cu: 0.250 0.250 0.750 [4 per cell]
F: 0.000 0.250 0.422 [4 per cell]
F: 0.000 0.250 0.801 [4 per cell]
F: 0.208 0.059 0.621 [16 per cell]

# 2
# Rb5Sb4
Computed X-ray powder pattern, a wavelength of 1.5418 Å. Input: a GGA-PBE-relaxed structure.
Neutral-atom scattering factors, no anomalous dispersion.

Principal peaks in the range 5° ≤ 2θ ≤ 70°, most intense first:
Position (°2θ)	intensity
25.57	100
30.91	41
30.33	39
30.66	31
27.58	29
33.72	18

Structure:
Cell lengths 13.100, 5.786, 11.751 Å; angles 90.00, 112.66, 90.00 degrees
Space group Cm (No. 8)
Inequivalent atoms, fractional coordinates:
Rb: 0.000 0.000 0.000 [2 per cell]
Rb: 0.010 0.500 0.334 [2 per cell]
Rb: 0.155 0.500 0.768 [2 per cell]
Rb: 0.232 0.500 0.151 [2 per cell]
Rb: 0.365 0.500 0.563 [2 per cell]
Sb: 0.160 0.000 0.558 [2 per cell]
Sb: 0.218 0.000 0.351 [2 per cell]
Sb: 0.304 0.000 0.987 [2 per cell]
Sb: 0.361 0.000 0.777 [2 per cell]